1.
Simulated PXRD pattern of Tl4In2Hg3 for Cu Kα (λ = 1.5418 Å), from a DFT-relaxed cell (GGA-PBE, Alexandria).
Neutral-atom scattering factors, no anomalous dispersion.

Peak list (10 most intense, 2θ from 10° to 90°, by angle)
2θ = 30.36°, d = 2.944 Å, I 51, (1 0 0); 2θ = 31.01°, d = 2.884 Å, I 60, (0 0 9); 2θ = 33.42°, d = 2.681 Å, I 100, (0 1 4); 2θ = 35.04°, d = 2.561 Å, I 97, (1 0 5); 2θ = 43.95°, d = 2.060 Å, I 35, (0 1 9); 2θ = 53.94°, d = 1.700 Å, I 41, (1 1 0); 2θ = 55.62°, d = 1.652 Å, I 22, (0 1 13); 2θ = 58.87°, d = 1.569 Å, I 21, (1 0 14); 2θ = 63.53°, d = 1.464 Å, I 48, (1 1 9); 2θ = 89.03°, d = 1.100 Å, I 16, (1 1 18)

Structural model:
a b c (Å): 3.3998 3.3998 25.9524
angles (deg): 90.00 90.00 120.00
Space group P3m1 (No. 156)
One atom of each set of equivalent atoms:
Tl1 0.0000 0.0000 0.0000 x1
Tl2 0.0000 0.0000 0.2207 x1
Tl3 0.3333 0.6667 0.3380 x1
Tl4 0.3333 0.6667 0.5612 x1
In1 0.0000 0.0000 0.6724 x1
In2 0.0000 0.0000 0.8764 x1
Hg1 0.0000 0.0000 0.4489 x1
Hg2 0.3333 0.6667 0.1108 x1
Hg3 0.3333 0.6667 0.7742 x1

2.
Simulated PXRD pattern of YH3C3O6 for Cu Kα (λ = 1.5418 Å), from a DFT-relaxed cell (GGA-PBE, Alexandria).
Neutral-atom scattering factors, no anomalous dispersion.

Peak list (10 most intense, 2θ from 10° to 90°, by angle)
2θ = 16.89°, d = 5.248 Å, I 100, (1 1 0); 2θ = 24.32°, d = 3.659 Å, I 24, (1 0 1); 2θ = 29.77°, d = 3.002 Å, I 42, (0 2 1); 2θ = 34.17°, d = 2.624 Å, I 43, (2 2 0); 2θ = 34.42°, d = 2.606 Å, I 47, (2 1 1); 2θ = 42.39°, d = 2.132 Å, I 32, (1 3 1); 2θ = 45.74°, d = 1.984 Å, I 12, (4 1 0); 2θ = 45.94°, d = 1.976 Å, I 15, (4 0 1); 2θ = 46.52°, d = 1.952 Å, I 21, (0 1 2); 2θ = 49.29°, d = 1.849 Å, I 24, (3 2 1)

Structural model:
a b c (Å): 10.4960 10.4960 3.9973
angles (deg): 90.00 90.00 120.00
Space group R3m (No. 160, hexagonal axes)
One atom of each set of equivalent atoms:
Y1 0.0000 0.0000 0.0000 x3
H1 0.1720 0.3440 0.1935 x9
C1 0.0257 0.5129 0.1234 x9
O1 0.0842 0.1685 0.5073 x9
O2 0.2018 0.4036 0.6857 x9

3.
Simulated PXRD pattern of LiH6Pd7 for Cu Kα (λ = 1.5418 Å), from a DFT-relaxed cell (GGA-PBE, Alexandria).
Neutral-atom scattering factors, no anomalous dispersion.

Peak list (10 most intense, 2θ from 10° to 90°, by angle)
2θ = 38.11°, d = 2.361 Å, I 100, (0 1 2); 2θ = 38.28°, d = 2.351 Å, I 98, (1 -2 0); 2θ = 44.36°, d = 2.042 Å, I 67, (1 2 0); 2θ = 44.46°, d = 2.038 Å, I 33, (-2 1 2); 2θ = 64.55°, d = 1.444 Å, I 32, (0 3 -2); 2θ = 64.66°, d = 1.442 Å, I 11, (-1 3 2); 2θ = 77.36°, d = 1.234 Å, I 12, (0 2 -4); 2θ = 77.50°, d = 1.232 Å, I 24, (1 3 2); 2θ = 77.63°, d = 1.230 Å, I 18, (0 4 0); 2θ = 77.85°, d = 1.227 Å, I 12, (-3 3 2)

Structural model:
a b c (Å): 4.985 4.994 5.789
angles (deg): 90.14 106.79 99.36
Space group P1 (No. 1)
One atom of each set of equivalent atoms:
Li1 0.000 0.000 0.000 x1
H1 0.230 0.839 0.348 x1
H2 0.234 0.435 0.063 x1
H3 0.263 0.360 0.563 x1
H4 0.284 0.839 0.818 x1
H5 0.700 0.130 0.175 x1
H6 0.719 0.126 0.656 x1
Pd1 0.002 0.008 0.500 x1
Pd2 0.011 0.512 0.753 x1
Pd3 0.501 0.764 0.127 x1
Pd4 0.502 0.266 0.374 x1
Pd5 0.513 0.761 0.628 x1
Pd6 0.514 0.259 0.875 x1
Pd7 0.999 0.509 0.249 x1

4.
Simulated PXRD pattern of Sm4Dy6Zr for Cu Kα (λ = 1.5418 Å), from a DFT-relaxed cell (GGA-PBE, Alexandria).
Neutral-atom scattering factors, no anomalous dispersion.

Peak list (10 most intense, 2θ from 10° to 90°, by angle)
2θ = 30.19°, d = 2.961 Å, I 100, (2 1 2); 2θ = 31.12°, d = 2.874 Å, I 9, (1 0 3); 2θ = 32.57°, d = 2.749 Å, I 55, (3 1 0); 2θ = 37.52°, d = 2.397 Å, I 10, (2 1 3); 2θ = 39.46°, d = 2.284 Å, I 10, (0 0 4); 2θ = 47.50°, d = 1.914 Å, I 11, (4 1 2); 2θ = 52.06°, d = 1.757 Å, I 11, (3 1 4); 2θ = 60.73°, d = 1.525 Å, I 9, (3 3 4); 2θ = 60.86°, d = 1.522 Å, I 21, (5 2 2); 2θ = 65.88°, d = 1.418 Å, I 11, (2 1 6)

Structural model:
a b c (Å): 8.693 8.693 9.135
angles (deg): 90.00 90.00 90.00
Space group P4/mnc (No. 128)
One atom of each set of equivalent atoms:
Sm1 0.145 0.355 0.250 x8
Dy1 0.000 0.000 0.176 x4
Dy2 0.152 0.657 0.500 x8
Zr1 0.000 0.000 0.500 x2